Calculated X-ray diffraction stick pattern
Compound: Ba3Cd2Sb4
Radiation: CuKα
Structure: a PBE-relaxed structure

Peak list (6 most intense, 2θ = 5–70°, by angle)
- (3 1 -1), 2θ 24.14, I 57
- (1 1 -2), 2θ 29.51, I 56
- (3 1 1), 2θ 29.78, I 100
- (3 1 -2), 2θ 30.00, I 47
- (6 0 0), 2θ 32.04, I 37
- (0 2 0), 2θ 36.48, I 54

Crystal structure
abc: 18.088 4.926 7.787
angles: 90.00 112.10 90.00
Space group Cm (No. 8)
Inequivalent atoms, fractional coordinates:
Ba: 0.000 0.000 0.000 (multiplicity 2)
Ba: 0.142 0.000 0.594 (multiplicity 2)
Ba: 0.285 0.000 0.188 (multiplicity 2)
Cd: 0.309 0.500 0.566 (multiplicity 2)
Cd: 0.476 0.000 0.622 (multiplicity 2)
Sb: 0.142 0.500 0.910 (multiplicity 2)
Sb: 0.143 0.500 0.279 (multiplicity 2)
Sb: 0.350 0.000 0.791 (multiplicity 2)
Sb: 0.435 0.500 0.397 (multiplicity 2)